Pm3Zn6Pd5: theoretical XRD peak list (Cu Kα), based on DFT lattice parameters and positions (GGA-PBE).
No peak broadening, texture or thermal motion is included.

Peak list (8 most intense, 10 to 90 degrees two-theta, by angle)
- (1 3 0), 3.050 Å, 2θ 29.28, I 27
- (1 3 2), 2.561 Å, 2θ 35.03, I 100
- (1 0 3), 2.546 Å, 2θ 35.26, I 37
- (0 3 3), 2.537 Å, 2θ 35.38, I 23
- (1 5 0), 2.214 Å, 2θ 40.75, I 18
- (2 0 0), 2.168 Å, 2θ 41.66, I 45
- (0 6 0), 2.146 Å, 2θ 42.11, I 19
- (2 6 0), 1.525 Å, 2θ 60.75, I 19

Structural model:
a = 4.336 Å, b = 12.876 Å, c = 9.435 Å
α = 90.00°, β = 90.00°, γ = 90.00°
Space group Pmmn (No. 59, origin choice 2)
Asymmetric unit:
Pm  0.250  0.059  0.249 (multiplicity 4)
Pm  0.250  0.750  0.260 (multiplicity 2)
Zn  0.250  0.069  0.589 (multiplicity 4)
Zn  0.250  0.250  0.030 (multiplicity 2)
Zn  0.250  0.250  0.448 (multiplicity 2)
Zn  0.250  0.604  0.984 (multiplicity 4)
Pd  0.250  0.087  0.866 (multiplicity 4)
Pd  0.250  0.635  0.539 (multiplicity 4)
Pd  0.250  0.750  0.791 (multiplicity 2)